[1]
This entry pairs a crystal structure of Pa2AlWN6 with its simulated powder X-ray diffraction pattern. Radiation: Cu Kα (λ = 1.5418 Å). Structure: DFT lattice parameters and positions (GGA-PBE).

Crystal structure
```
data_Pa2AlWN6
_chemical_formula_sum 'Pa2 Al1 W1 N6'
_cell_length_a 5.2380
_cell_length_b 5.2380
_cell_length_c 4.8200
_cell_angle_alpha 90.00
_cell_angle_beta 90.00
_cell_angle_gamma 90.00
_space_group_name_H-M_alt 'P 1'
_space_group_IT_number 1
loop_
_space_group_symop_operation_xyz
'x,y,z'
loop_
_atom_site_label
_atom_site_fract_x
_atom_site_fract_y
_atom_site_fract_z
Pa1 0.0000 0.5000 0.0000
Pa2 0.5000 0.0000 0.0000
Al1 0.0000 0.0000 0.5790
W1 0.5000 0.5000 0.5797
N1 0.0000 0.0000 0.1905
N2 0.2496 0.2496 0.7254
N3 0.2496 0.7504 0.7254
N4 0.5000 0.5000 0.1960
N5 0.7504 0.2496 0.7254
N6 0.7504 0.7504 0.7254
```

Most intense lines, 5° ≤ 2θ ≤ 70°, sorted by position:
2θ (°)  d [Å]  Rel. int.
16.9  5.238  12
18.4  4.820  19
30.4  2.937  100
34.2  2.619  37
37.3  2.410  11
39.1  2.301  11
44.9  2.020  15
49.2  1.852  18
51.5  1.773  23
59.0  1.566  32



[2]
This entry pairs a crystal structure of Pm12SmAl4N3 with its simulated powder X-ray diffraction pattern. Radiation: Cu Kα (λ = 1.5418 Å). Structure: DFT lattice parameters and positions (GGA-PBE).

Crystal structure
```
data_Pm12SmAl4N3
_chemical_formula_sum 'Pm12 Sm1 Al4 N3'
_cell_length_a 8.7463
_cell_length_b 8.7463
_cell_length_c 8.7463
_cell_angle_alpha 109.47
_cell_angle_beta 109.47
_cell_angle_gamma 109.47
_space_group_name_H-M_alt 'P 1'
_space_group_IT_number 1
loop_
_space_group_symop_operation_xyz
'x,y,z'
loop_
_atom_site_label
_atom_site_fract_x
_atom_site_fract_y
_atom_site_fract_z
Pm1 0.0000 0.2736 0.2736
Pm2 0.0000 0.7264 0.7264
Pm3 0.2500 0.5000 0.7500
Pm4 0.2500 0.7500 0.5000
Pm5 0.2736 0.0000 0.2736
Pm6 0.2736 0.2736 0.0000
Pm7 0.5000 0.2500 0.7500
Pm8 0.5000 0.7500 0.2500
Pm9 0.7264 0.0000 0.7264
Pm10 0.7264 0.7264 0.0000
Pm11 0.7500 0.2500 0.5000
Pm12 0.7500 0.5000 0.2500
Sm1 0.0000 0.0000 0.0000
Al1 0.0000 0.0000 0.5000
Al2 0.0000 0.5000 0.0000
Al3 0.5000 0.0000 0.0000
Al4 0.5000 0.5000 0.5000
N1 0.0000 0.5000 0.5000
N2 0.5000 0.0000 0.5000
N3 0.5000 0.5000 0.0000
```

Most intense lines, 5° ≤ 2θ ≤ 70°, sorted by position:
2θ (°)  d [Å]  Rel. int.
17.6  5.050  50
30.7  2.915  100
33.2  2.699  10
35.6  2.525  76
39.9  2.258  22
42.0  2.153  8
51.2  1.785  51
54.5  1.683  11
60.8  1.523  38
63.9  1.458  16



[3]
This entry pairs a crystal structure of Al3SN with its simulated powder X-ray diffraction pattern. Radiation: Cu Kα (λ = 1.5418 Å). Structure: DFT lattice parameters and positions (GGA-PBE).

Crystal structure
```
data_Al3SN
_chemical_formula_sum 'Al3 S1 N1'
_cell_length_a 4.2118
_cell_length_b 4.2118
_cell_length_c 4.2118
_cell_angle_alpha 90.00
_cell_angle_beta 90.00
_cell_angle_gamma 90.00
_space_group_name_H-M_alt 'P 1'
_space_group_IT_number 1
loop_
_space_group_symop_operation_xyz
'x,y,z'
loop_
_atom_site_label
_atom_site_fract_x
_atom_site_fract_y
_atom_site_fract_z
Al1 0.0000 0.0000 0.5000
Al2 0.0000 0.5000 0.0000
Al3 0.5000 0.0000 0.0000
S1 0.5000 0.5000 0.5000
N1 0.0000 0.0000 0.0000
```

Most intense lines, 5° ≤ 2θ ≤ 70°, sorted by position:
2θ (°)  d [Å]  Rel. int.
21.1  4.212  2
30.0  2.978  11
37.0  2.432  100
42.9  2.106  76
48.3  1.884  1
53.3  1.719  2
62.4  1.489  47



[4]
This entry pairs a crystal structure of AlTe2SN with its simulated powder X-ray diffraction pattern. Radiation: Cu Kα (λ = 1.5418 Å). Structure: DFT lattice parameters and positions (GGA-PBE).

Crystal structure
```
data_AlTe2SN
_chemical_formula_sum 'Al1 Te2 S1 N1'
_cell_length_a 5.9993
_cell_length_b 5.9993
_cell_length_c 3.2337
_cell_angle_alpha 90.00
_cell_angle_beta 90.00
_cell_angle_gamma 90.00
_space_group_name_H-M_alt 'P 1'
_space_group_IT_number 1
loop_
_space_group_symop_operation_xyz
'x,y,z'
loop_
_atom_site_label
_atom_site_fract_x
_atom_site_fract_y
_atom_site_fract_z
Al1 0.0000 0.0000 0.0000
Te1 0.0000 0.5000 0.5000
Te2 0.5000 0.0000 0.5000
S1 0.5000 0.5000 0.5000
N1 0.5000 0.5000 0.0000
```

Most intense lines, 5° ≤ 2θ ≤ 70°, sorted by position:
2θ (°)  d [Å]  Rel. int.
20.9  4.242  66
27.6  3.234  34
29.8  3.000  100
34.9  2.572  82
41.0  2.199  46
42.6  2.121  36
48.0  1.897  16
51.5  1.774  24
56.2  1.636  41
65.6  1.423  19